# RbNa3Sb2Au2
Computed X-ray powder pattern, Cu Kα (weighted mean of Kα1 and Kα2). Input: a PBE-relaxed structure.
Kinematic intensities with the Lorentz-polarization factor, no thermal factor.

Main lines, sorted by position (2θ from 10° to 90°):
| index | d (Å) | 2theta | I/Imax |
| --- | --- | --- | --- |
| 0 0 1 | 6.358 | 13.9 | 65.1 |
| 1 0 0 | 5.778 | 15.3 | 40.3 |
| 1 0 -1 | 4.977 | 17.8 | 100.0 |
| 1 1 0 | 4.214 | 21.1 | 26.1 |
| 2 0 -1 | 2.937 | 30.4 | 30.1 |
| 0 2 1 | 2.771 | 32.3 | 36.5 |
| 1 2 0 | 2.717 | 33.0 | 40.3 |
| 1 0 2 | 2.519 | 35.6 | 28.2 |
| 1 2 1 | 2.394 | 37.6 | 53.6 |
| 0 2 2 | 2.212 | 40.8 | 29.8 |

Cell and atoms:
Lattice parameters (Å, degrees): 5.9888 6.1587 6.5900 90.00 105.25 90.00
Space group Pm (No. 6)
Asymmetric unit:
Rb: 0.0000 0.0000 0.0000 (multiplicity 1)
Na: 0.3171 0.5000 0.3659 (multiplicity 1)
Na: 0.6442 0.0000 0.3471 (multiplicity 1)
Na: 0.9540 0.5000 0.6851 (multiplicity 1)
Sb: 0.2125 0.0000 0.5456 (multiplicity 1)
Sb: 0.7427 0.5000 0.1555 (multiplicity 1)
Au: 0.4605 0.2596 0.8488 (multiplicity 2)